(1)
The following is a computed PXRD pattern of Li4CrH5. It was derived from a structure optimized by DFT (PBE), using Cu Kα, 1.54184 Å.
No peak broadening, texture or thermal motion is included.

Most intense lines, 10° ≤ 2θ ≤ 90°, most intense first:
- 2θ 15.2, d 5.834, intensity 100, hkl 0 0 1
- 2θ 19.1, d 4.655, intensity 58, hkl 2 0 -1
- 2θ 22.4, d 3.968, intensity 40, hkl 2 0 0
- 2θ 41.1, d 2.195, intensity 28, hkl 1 1 1
- 2θ 46.2, d 1.964, intensity 27, hkl 3 1 -2
- 2θ 26.4, d 3.379, intensity 26, hkl 2 0 -2
- 2θ 35.3, d 2.542, intensity 22, hkl 1 1 0
- 2θ 36.0, d 2.494, intensity 21, hkl 1 1 -1
- 2θ 30.7, d 2.917, intensity 17, hkl 0 0 2
- 2θ 39.0, d 2.308, intensity 16, hkl 2 0 -3

Structure:
```
data_Li4CrH5
_symmetry_space_group_name_H-M 'C 1 2/m 1'
_symmetry_Int_Tables_number 12
_symmetry_space_group_name_Hall '-C 2y'
_cell_length_a 9.4361
_cell_length_b 2.6829
_cell_length_c 6.9360
_cell_angle_alpha 90.00
_cell_angle_beta 122.75
_cell_angle_gamma 90.00
loop_
_atom_site_label
_atom_site_type_symbol
_atom_site_fract_x
_atom_site_fract_y
_atom_site_fract_z
_atom_site_occupancy
Li1 Li 0.0966 0.0000 0.3974 1
Li2 Li 0.2017 0.5000 0.8065 1
Cr1 Cr 0.0000 0.5000 0.0000 1
H1 H 0.0000 0.5000 0.5000 1
H2 H 0.0844 0.0000 0.9149 1
H3 H 0.1902 0.5000 0.2812 1
```



(2)
The following is a computed PXRD pattern of LiMgCrH6. It was derived from a structure optimized by DFT (PBE), using Cu Kα, 1.54184 Å.
No peak broadening, texture or thermal motion is included.

Most intense lines, 10° ≤ 2θ ≤ 90°, most intense first:
- 2θ 25.9, d 3.445, intensity 100, hkl 1 0 1
- 2θ 31.8, d 2.816, intensity 94, hkl 1 0 2
- 2θ 41.5, d 2.178, intensity 49, hkl 1 1 0
- 2θ 61.1, d 1.518, intensity 31, hkl 1 1 4
- 2θ 39.9, d 2.259, intensity 28, hkl 1 0 3
- 2θ 53.2, d 1.723, intensity 21, hkl 2 0 2
- 2θ 69.6, d 1.351, intensity 17, hkl 2 1 2
- 2θ 21.0, d 4.233, intensity 16, hkl 0 0 2
- 2θ 49.5, d 1.841, intensity 14, hkl 2 0 1
- 2θ 42.7, d 2.116, intensity 13, hkl 0 0 4

Structure:
```
data_LiMgCrH6
_symmetry_space_group_name_H-M 'P 63/m m c'
_symmetry_Int_Tables_number 194
_symmetry_space_group_name_Hall '-P 6c 2c'
_cell_length_a 4.3551
_cell_length_b 4.3551
_cell_length_c 8.4658
_cell_angle_alpha 90.00
_cell_angle_beta 90.00
_cell_angle_gamma 120.00
loop_
_atom_site_label
_atom_site_type_symbol
_atom_site_fract_x
_atom_site_fract_y
_atom_site_fract_z
_atom_site_occupancy
Li1 Li 0.3333 0.6667 0.2500 1
Mg1 Mg 0.0000 0.0000 0.0000 1
Cr1 Cr 0.3333 0.6667 0.7500 1
H1 H 0.0219 0.5110 0.6151 1
```



(3)
The following is a computed PXRD pattern of NaLiCrH6. It was derived from a structure optimized by DFT (PBE), using Cu Kα, 1.54184 Å.
No peak broadening, texture or thermal motion is included.

Most intense lines, 10° ≤ 2θ ≤ 90°, most intense first:
- 2θ 24.0, d 3.714, intensity 100, hkl 1 0 1
- 2θ 29.1, d 3.068, intensity 94, hkl 1 0 2
- 2θ 38.6, d 2.333, intensity 47, hkl 1 1 0
- 2θ 55.4, d 1.658, intensity 33, hkl 1 1 4
- 2θ 36.2, d 2.481, intensity 30, hkl 1 0 3
- 2θ 18.8, d 4.713, intensity 21, hkl 0 0 2
- 2θ 49.1, d 1.857, intensity 19, hkl 2 0 2
- 2θ 64.1, d 1.453, intensity 16, hkl 2 1 2
- 2θ 45.9, d 1.976, intensity 15, hkl 2 0 1
- 2θ 38.2, d 2.357, intensity 14, hkl 0 0 4

Structure:
```
data_NaLiCrH6
_symmetry_space_group_name_H-M 'P 63/m m c'
_symmetry_Int_Tables_number 194
_symmetry_space_group_name_Hall '-P 6c 2c'
_cell_length_a 4.6660
_cell_length_b 4.6660
_cell_length_c 9.4266
_cell_angle_alpha 90.00
_cell_angle_beta 90.00
_cell_angle_gamma 120.00
loop_
_atom_site_label
_atom_site_type_symbol
_atom_site_fract_x
_atom_site_fract_y
_atom_site_fract_z
_atom_site_occupancy
Na1 Na 0.0000 0.0000 0.0000 1
Li1 Li 0.3333 0.6667 0.2500 1
Cr1 Cr 0.3333 0.6667 0.7500 1
H1 H 0.0296 0.5148 0.6326 1
```